Starting from DFT lattice parameters and positions (PBE), the powder X-ray diffraction pattern of LaGaPt2 was calculated for Cu Kα (weighted mean of Kα1 and Kα2).
Peak positions follow from Bragg's law for the DFT cell and can differ from measured ones.

Principal peaks in the range 5° ≤ 2θ ≤ 70°, most intense first:
- 2θ = 38.6°, 2.330 Å, I 1000
- 2θ = 34.5°, 2.600 Å, I 802
- 2θ = 34.8°, 2.580 Å, I 764
- 2θ = 42.7°, 2.119 Å, I 750
- 2θ = 32.4°, 2.767 Å, I 688
- 2θ = 41.3°, 2.186 Å, I 654
- 2θ = 37.8°, 2.382 Å, I 558
- 2θ = 31.5°, 2.836 Å, I 497

Unit cell a=7.5998 b=7.1282 c=5.9427 alpha=90.00 beta=90.00 gamma=90.00
Positions (direct):
La (0.0282, 0.2500, 0.1499)
La (0.4718, 0.7500, 0.6499)
La (0.5282, 0.2500, 0.3501)
La (0.9718, 0.7500, 0.8501)
Ga (0.1220, 0.7500, 0.3511)
Ga (0.3780, 0.2500, 0.8511)
Ga (0.6220, 0.7500, 0.1489)
Ga (0.8780, 0.2500, 0.6489)
Pt (0.1796, 0.0526, 0.5837)
Pt (0.1796, 0.4474, 0.5837)
Pt (0.3204, 0.5526, 0.0837)
Pt (0.3204, 0.9474, 0.0837)
Pt (0.6796, 0.0526, 0.9163)
Pt (0.6796, 0.4474, 0.9163)
Pt (0.8204, 0.5526, 0.4163)
Pt (0.8204, 0.9474, 0.4163)

Starting from DFT lattice parameters and positions (PBE), the powder X-ray diffraction pattern of ErNi6As2 was calculated for Cu Kα (weighted mean of Kα1 and Kα2).
Peak positions follow from Bragg's law for the DFT cell and can differ from measured ones.

Principal peaks in the range 5° ≤ 2θ ≤ 70°, most intense first:
- 2θ = 39.5°, 2.284 Å, I 1000
- 2θ = 46.3°, 1.960 Å, I 904
- 2θ = 31.8°, 2.810 Å, I 553
- 2θ = 40.7°, 2.216 Å, I 535
- 2θ = 47.1°, 1.929 Å, I 422
- 2θ = 34.2°, 2.621 Å, I 391
- 2θ = 63.4°, 1.468 Å, I 288
- 2θ = 67.6°, 1.386 Å, I 277

Unit cell a=3.9197 b=3.9197 c=8.0610 alpha=90.00 beta=90.00 gamma=90.00
Positions (direct):
Er (0.0000, 0.0000, 0.0000)
Ni (0.0000, 0.0000, 0.5000)
Ni (0.0000, 0.5000, 0.3107)
Ni (0.0000, 0.5000, 0.6893)
Ni (0.5000, 0.0000, 0.3107)
Ni (0.5000, 0.0000, 0.6893)
Ni (0.5000, 0.5000, 0.5000)
As (0.5000, 0.5000, 0.1604)
As (0.5000, 0.5000, 0.8396)

Starting from DFT lattice parameters and positions (PBE), the powder X-ray diffraction pattern of Tb2ThPtN4 was calculated for Cu Kα (weighted mean of Kα1 and Kα2).
Peak positions follow from Bragg's law for the DFT cell and can differ from measured ones.

Principal peaks in the range 5° ≤ 2θ ≤ 70°, most intense first:
- 2θ = 30.9°, 2.895 Å, I 1000
- 2θ = 30.3°, 2.946 Å, I 958
- 2θ = 37.8°, 2.378 Å, I 822
- 2θ = 27.3°, 3.267 Å, I 283
- 2θ = 35.4°, 2.537 Å, I 275
- 2θ = 62.2°, 1.493 Å, I 262
- 2θ = 52.4°, 1.745 Å, I 249
- 2θ = 43.4°, 2.083 Å, I 236

Unit cell a=6.1430 b=6.1430 c=11.7768 alpha=90.00 beta=90.00 gamma=147.24
Positions (direct):
Tb (0.1276, 0.8724, 0.5502)
Tb (0.1276, 0.8724, 0.9498)
Tb (0.8724, 0.1276, 0.0502)
Tb (0.8724, 0.1276, 0.4498)
Th (0.3859, 0.6141, 0.7500)
Th (0.6141, 0.3859, 0.2500)
Pt (0.3522, 0.6478, 0.2500)
Pt (0.6478, 0.3522, 0.7500)
N (0.0406, 0.9594, 0.7500)
N (0.2167, 0.7833, 0.1277)
N (0.2167, 0.7833, 0.3723)
N (0.5000, 0.5000, 0.0000)
N (0.5000, 0.5000, 0.5000)
N (0.7833, 0.2167, 0.6277)
N (0.7833, 0.2167, 0.8723)
N (0.9594, 0.0406, 0.2500)